No. 1
# Na2AcSnS4
Simulated powder X-ray diffraction pattern, Cu Kα (λ = 1.5418 Å). Input: a structure optimized by DFT (GGA-PBE).

Atomic structure:
```
Na2AcSnS4
1.0
5.7979 0.0000 0.0000
0.0000 5.7979 0.0000
0.0000 0.0000 11.9823
Na Ac Sn S
4 2 2 8
direct
0.0000 0.0000 0.0000
0.0000 0.5000 0.2500
0.5000 0.0000 0.7500
0.5000 0.5000 0.5000
0.0000 0.5000 0.7500
0.5000 0.0000 0.2500
0.0000 0.0000 0.5000
0.5000 0.5000 0.0000
0.0000 0.0000 0.2733
0.0000 0.0000 0.7267
0.0000 0.5000 0.9998
0.0000 0.5000 0.5002
0.5000 0.0000 0.0002
0.5000 0.0000 0.4998
0.5000 0.5000 0.2267
0.5000 0.5000 0.7733
```

The 10 most intense peaks (10 to 80 degrees two-theta), in order of rising 2θ:
d [Å]	2theta	I/Imax
5.219	17.0	100
3.383	26.3	47
3.289	27.1	29
2.996	29.8	35
2.899	30.8	68
2.534	35.4	34
2.175	41.5	19
2.083	43.4	50
2.050	44.2	25
1.692	54.2	26

=====

No. 2
# NiBiRh2S2
Simulated powder X-ray diffraction pattern, Cu Kα (λ = 1.5418 Å). Input: a structure optimized by DFT (GGA-PBE).

Atomic structure:
```
NiBiRh2S2
1.0
1.6950 0.9786 11.3938
-1.6950 0.9786 11.3938
0.0000 -1.9572 11.3938
Ni Bi Rh S
1 1 2 2
direct
0.0000 0.0000 0.0000
0.5000 0.5000 0.5000
0.2383 0.2383 0.2383
0.7617 0.7617 0.7617
0.0615 0.0615 0.0615
0.9385 0.9385 0.9385
```

The 10 most intense peaks (10 to 80 degrees two-theta), in order of rising 2θ:
d [Å]	2theta	I/Imax
2.848	31.4	25
2.777	32.2	100
2.516	35.7	31
2.420	37.2	44
2.134	42.4	22
1.727	53.0	19
1.695	54.1	30
1.457	63.9	20
1.447	64.4	13
1.326	71.1	12

=====

No. 3
# Dy2Al3Ni4
Simulated powder X-ray diffraction pattern, Cu Kα (λ = 1.5418 Å). Input: a structure optimized by DFT (GGA-PBE).

Atomic structure:
```
Dy2Al3Ni4
1.0
2.7284 -7.6186 0.0000
2.7284 7.6186 0.0000
0.0000 0.0000 6.8945
Dy Al Ni
4 6 8
direct
0.1044 0.8956 0.9144
0.3956 0.6044 0.4144
0.6044 0.3956 0.5856
0.8956 0.1044 0.0856
0.0000 0.0000 0.5000
0.0160 0.4840 0.7500
0.4840 0.0160 0.2500
0.5000 0.5000 0.0000
0.5160 0.9840 0.7500
0.9840 0.5160 0.2500
0.1704 0.8296 0.5124
0.1788 0.3212 0.7500
0.3212 0.1788 0.2500
0.3296 0.6704 0.0124
0.6704 0.3296 0.9876
0.6788 0.8212 0.7500
0.8212 0.6788 0.2500
0.8296 0.1704 0.4876
```

The 10 most intense peaks (10 to 80 degrees two-theta), in order of rising 2θ:
d [Å]	2theta	I/Imax
4.119	21.6	41
3.809	23.4	43
2.863	31.2	25
2.528	35.5	50
2.482	36.2	100
2.407	37.4	50
2.218	40.7	27
2.200	41.0	50
2.139	42.2	55
1.523	60.8	32